Record 1
KMn2P2HO9: computed powder XRD pattern (a wavelength of 1.5418 Å), based on a structure optimized by DFT (GGA+U).

Top 6 peaks for 2θ from 15° to 90°, sorted by position:
- (0 2 0), 3.510 Å, 2θ = 25.37°, intensity 80
- (0 2 1), 3.248 Å, 2θ = 27.46°, intensity 59
- (2 0 0), 3.033 Å, 2θ = 29.45°, intensity 79
- (1 0 -3), 2.942 Å, 2θ = 30.39°, intensity 100
- (0 2 2), 2.715 Å, 2θ = 32.99°, intensity 81
- (3 2 -1), 1.810 Å, 2θ = 50.41°, intensity 41

Cell and atoms:
Cell lengths 6.3506, 7.0204, 8.9709 Å; angles 90.00, 107.23, 90.00 degrees
Space group P2_1/m (No. 11)
Unique sites:
K: 0.0496 0.2500 0.1708
Mn: 0.4596 0.7500 0.2867
Mn: 0.5000 0.0000 0.0000
P: 0.1135 0.2500 0.8104
P: 0.4345 0.7500 0.6558
H: 0.0869 0.7500 0.4995
O: 0.1376 0.7500 0.2585
O: 0.1712 0.7500 0.6110
O: 0.1864 0.0693 0.9152
O: 0.2143 0.2500 0.6723
O: 0.4168 0.7500 0.0624
O: 0.4802 0.0719 0.2433
O: 0.4867 0.2500 0.4896

***

Record 2
LiMn4O8: computed powder XRD pattern (a wavelength of 1.5418 Å), based on a structure optimized by DFT (GGA+U).

Top 6 peaks for 2θ from 15° to 90°, sorted by position:
- (0 0 1), 4.939 Å, 2θ = 17.96°, intensity 67
- (1 0 0), 4.807 Å, 2θ = 18.46°, intensity 100
- (0 1 -1), 4.729 Å, 2θ = 18.77°, intensity 49
- (0 2 0), 2.136 Å, 2θ = 42.31°, intensity 39
- (2 0 -2), 2.066 Å, 2θ = 43.81°, intensity 35
- (2 -2 2), 2.059 Å, 2θ = 43.97°, intensity 35

Cell and atoms:
Cell lengths 5.8145, 5.8402, 5.8621 Å; angles 117.78, 90.19, 119.74 degrees
Space group P1 (No. 1)
Unique sites:
Li: 0.0000 0.0000 0.0000
Mn: 0.1213 0.7366 0.3639
Mn: 0.6173 0.2335 0.8618
Mn: 0.6169 0.7365 0.3637
Mn: 0.6182 0.2349 0.3660
O: 0.3617 0.7201 0.5659
O: 0.3737 0.1886 0.5868
O: 0.3908 0.7813 0.1629
O: 0.4153 0.2758 0.1349
O: 0.8159 0.1884 0.5883
O: 0.8495 0.6963 0.5702
O: 0.8622 0.2763 0.1364
O: 0.8721 0.7443 0.1521